Record 1
Diffraction record for GaCoCu2H6. The powder diffractogram is calculated, not measured: it uses a cell relaxed with PBE and Cu Ka.

```
10
Lattice="4.519 0.000 0.000 2.195 4.298 0.000 2.204 1.373 4.137" Properties=species:S:1:pos:R:3 pbc="T T T"
Ga 0.000 0.000 0.000
Co 4.435 3.715 1.099
Cu 2.489 2.042 1.605
Cu 5.964 3.608 3.265
H 3.307 3.449 2.206
H 1.748 0.847 0.574
H 4.913 4.692 2.309
H 4.124 2.166 0.819
H 5.367 2.676 1.953
H 7.177 4.897 3.766
```

Most intense lines, 15° ≤ 2θ ≤ 90°, by intensity:
2theta, I_rel
42.82, 100
23.60, 98
26.44, 83
43.23, 69
45.62, 57
36.90, 49
42.31, 47
36.56, 45

Record 2
Diffraction record for La2TiS4. The powder diffractogram is calculated, not measured: it uses a cell relaxed with PBE and Cu Ka.

```
7
Lattice="-2.307 2.307 7.408 2.307 -2.307 7.408 2.307 2.307 -7.408" Properties=species:S:1:pos:R:3 pbc="T T T"
La 0.000 0.000 2.032
La 0.000 0.000 12.784
Ti 0.000 0.000 7.408
S 2.307 0.000 0.000
S 0.000 0.000 4.821
S 0.000 2.307 0.000
S 0.000 0.000 9.995
```

Most intense lines, 15° ≤ 2θ ≤ 90°, by intensity:
2theta, I_rel
27.34, 100
26.44, 95
36.71, 79
39.04, 75
47.77, 39
36.02, 37
20.16, 37
56.40, 25

Record 3
Diffraction record for Ce5HN4. The powder diffractogram is calculated, not measured: it uses a cell relaxed with PBE and Cu Ka.

```
10
Lattice="1.773 1.024 14.786 -1.773 1.024 14.786 0.000 -2.047 14.786" Properties=species:S:1:pos:R:3 pbc="T T T"
Ce 0.000 0.000 0.000
Ce 0.000 0.000 9.005
Ce 0.000 0.000 17.710
Ce 0.000 0.000 26.648
Ce 0.000 0.000 35.354
H 0.000 0.000 22.179
N 0.000 0.000 4.440
N 0.000 0.000 13.325
N 0.000 0.000 31.034
N 0.000 0.000 39.918
```

Most intense lines, 15° ≤ 2θ ≤ 90°, by intensity:
2theta, I_rel
30.82, 100
35.56, 94
30.22, 34
51.55, 32
50.78, 32
60.93, 29
64.20, 16
61.28, 15

Record 4
Diffraction record for P4SeO7. The powder diffractogram is calculated, not measured: it uses a cell relaxed with PBE and Cu Ka.

```
24
Lattice="7.308 0.000 0.000 -0.771 7.359 0.000 -2.194 -0.905 8.682" Properties=species:S:1:pos:R:3 pbc="T T T"
P -0.037 1.791 2.290
P -0.386 -0.659 7.489
P -0.191 5.026 5.378
P -0.576 3.904 8.066
P 4.919 2.549 0.616
P 4.535 1.428 3.304
P 4.729 7.113 1.192
P 4.381 4.663 6.392
Se 1.002 4.996 3.721
Se 3.342 1.458 4.961
O -1.764 4.699 5.163
O -0.353 0.253 1.633
O -2.125 3.737 7.501
O -0.322 0.696 8.032
O -0.266 6.482 6.151
O -0.630 5.551 8.472
O 0.232 4.038 6.591
O 4.111 2.415 2.090
O 4.973 0.903 0.209
O 4.610 -0.028 2.531
O 4.666 5.757 0.650
O 6.468 2.716 1.181
O 4.696 6.201 7.049
O 6.108 1.755 3.519
```

Most intense lines, 15° ≤ 2θ ≤ 90°, by intensity:
2theta, I_rel
20.31, 100
21.15, 86
18.57, 79
16.34, 78
15.00, 68
18.14, 51
25.36, 47
27.41, 41

Record 5
Diffraction record for Sr4GaI5. The powder diffractogram is calculated, not measured: it uses a cell relaxed with PBE and Cu Ka.

```
10
Lattice="10.502 -2.310 0.000 10.502 2.310 0.000 -2.621 0.000 9.354" Properties=species:S:1:pos:R:3 pbc="T T T"
Sr -0.667 0.000 2.449
Sr 6.077 0.000 3.847
Sr 12.306 0.000 5.507
Sr 19.050 0.000 6.905
Ga 9.192 0.000 4.677
I 1.272 0.000 7.780
I 2.705 0.000 3.225
I 10.502 0.000 0.000
I 15.678 0.000 6.129
I 17.111 0.000 1.574
```

Most intense lines, 15° ≤ 2θ ≤ 90°, by intensity:
2theta, I_rel
26.63, 100
26.44, 49
37.34, 39
38.42, 35
37.05, 20
47.72, 19
38.98, 18
23.34, 15

Record 6
Diffraction record for NaBi4H2. The powder diffractogram is calculated, not measured: it uses a cell relaxed with PBE and Cu Ka.

```
7
Lattice="4.662 0.000 0.000 0.000 4.674 0.000 -0.059 0.000 8.734" Properties=species:S:1:pos:R:3 pbc="T T T"
Na 0.000 0.000 0.000
Bi 1.251 0.000 3.136
Bi 1.667 2.337 6.788
Bi 2.935 2.337 1.946
Bi 3.351 0.000 5.599
H 0.582 2.337 5.276
H 4.020 2.337 3.459
```

Most intense lines, 15° ≤ 2θ ≤ 90°, by intensity:
2theta, I_rel
28.90, 100
28.09, 43
36.33, 36
20.33, 29
44.73, 24
21.56, 24
33.97, 23
38.53, 22

Record 7
Diffraction record for La2Ag. The powder diffractogram is calculated, not measured: it uses a cell relaxed with PBE and Cu Ka.

```
6
Lattice="6.688 -1.884 0.000 6.688 1.884 0.000 -2.039 0.000 7.328" Properties=species:S:1:pos:R:3 pbc="T T T"
La 1.694 0.000 0.429
La 0.939 0.000 4.331
La 10.398 0.000 2.996
La 9.644 0.000 6.899
Ag 5.070 0.000 5.245
Ag 6.268 0.000 2.083
```

Most intense lines, 15° ≤ 2θ ≤ 90°, by intensity:
2theta, I_rel
31.58, 100
33.48, 94
31.69, 51
31.15, 45
48.30, 17
58.92, 17
55.13, 16
42.06, 16

Record 8
Diffraction record for Ta2AsPb. The powder diffractogram is calculated, not measured: it uses a cell relaxed with PBE and Cu Ka.

```
4
Lattice="3.438 0.000 0.000 0.000 3.463 0.000 0.000 0.000 6.910" Properties=species:S:1:pos:R:3 pbc="T T T"
Ta 0.000 0.000 0.000
Ta 1.719 1.731 1.598
As 0.000 0.000 2.718
Pb 1.719 1.731 5.087
```

Most intense lines, 15° ≤ 2θ ≤ 90°, by intensity:
2theta, I_rel
36.79, 100
36.88, 46
66.24, 29
66.47, 17
52.88, 10
53.28, 9
89.56, 9
25.77, 8